The following is a theoretical powder XRD pattern of ZrTiTl. It was derived from a cell relaxed with GGA-PBE, using Cu Ka.
Kinematic intensities with the Lorentz-polarization factor, no thermal factor.

Main lines, low angle first (2θ = 15–90°):
Position (°2θ)	d_spacing	I_rel
17.4	5.085	30
22.3	3.982	41
33.4	2.683	30
33.8	2.655	30
34.0	2.640	100
41.0	2.201	55

Crystal structure
```
6
Lattice="8.395 -1.517 0.000 8.395 1.517 0.000 -1.698 0.000 5.090" Properties=species:S:1:pos:R:3 pbc="T T T"
Zr 2.593 0.000 0.864
Zr 12.501 0.000 4.226
Ti 16.380 0.000 1.231
Ti -1.287 0.000 3.859
Tl 5.427 0.000 1.840
Tl 9.666 0.000 3.250
```

The following is a theoretical powder XRD pattern of Li2AcInS4. It was derived from a cell relaxed with GGA-PBE, using Cu Ka.
Kinematic intensities with the Lorentz-polarization factor, no thermal factor.

Main lines, low angle first (2θ = 15–90°):
Position (°2θ)	d_spacing	I_rel
18.5	4.785	100
29.5	3.027	74
35.1	2.558	60
37.6	2.393	31
48.5	1.877	40
54.2	1.692	24

Crystal structure
```
8
Lattice="-3.384 3.384 3.908 3.384 -3.384 3.908 3.384 3.384 -3.908" Properties=species:S:1:pos:R:3 pbc="T T T"
Li 3.384 0.000 1.954
Li 0.000 3.384 1.954
Ac 0.000 0.000 0.000
In 0.000 0.000 3.908
S 1.438 -1.438 2.493
S 1.945 1.945 1.415
S -1.438 1.438 2.493
S 1.438 1.438 5.323
```

The following is a theoretical powder XRD pattern of Rb2SmPuO6. It was derived from a cell relaxed with GGA-PBE, using Cu Ka.
Kinematic intensities with the Lorentz-polarization factor, no thermal factor.

Main lines, low angle first (2θ = 15–90°):
Position (°2θ)	d_spacing	I_rel
20.3	4.380	26
28.8	3.097	100
41.2	2.190	29
51.1	1.788	42
67.6	1.385	19
82.4	1.171	22

Crystal structure
```
10
Lattice="0.000 4.380 4.380 4.380 0.000 4.380 4.380 4.380 0.000" Properties=species:S:1:pos:R:3 pbc="T T T"
Rb 2.190 2.190 2.190
Rb 6.570 6.570 6.570
Sm 0.000 0.000 0.000
Pu 4.380 4.380 4.380
O 4.380 4.380 2.349
O 4.380 2.349 4.380
O 6.411 4.380 4.380
O 2.349 4.380 4.380
O 4.380 6.411 4.380
O 4.380 4.380 6.411
```

The following is a theoretical powder XRD pattern of Tl12HgPb4. It was derived from a cell relaxed with GGA-PBE, using Cu Ka.
Kinematic intensities with the Lorentz-polarization factor, no thermal factor.

Main lines, low angle first (2θ = 15–90°):
Position (°2θ)	d_spacing	I_rel
28.0	3.188	83
30.4	2.944	99
31.3	2.858	91
31.7	2.824	98
33.0	2.712	100
36.0	2.493	55

Crystal structure
```
17
Lattice="6.427 0.000 0.000 2.298 9.161 0.000 2.961 2.512 9.138" Properties=species:S:1:pos:R:3 pbc="T T T"
Tl 2.539 4.559 3.132
Tl 3.685 7.647 2.568
Tl 5.510 8.986 7.000
Tl 4.974 4.702 7.616
Tl 3.176 1.317 1.401
Tl 4.559 2.753 5.103
Tl 7.127 8.920 4.035
Tl 8.510 10.356 7.737
Tl 6.712 6.970 1.523
Tl 6.176 2.687 2.139
Tl 8.001 4.026 6.570
Tl 9.147 7.114 6.007
Hg 1.149 4.580 0.000
Pb 0.000 0.000 0.000
Pb 1.480 1.256 4.569
Pb 4.363 4.580 0.000
Pb 5.843 5.836 4.569
```

The following is a theoretical powder XRD pattern of DyThTi. It was derived from a cell relaxed with GGA-PBE, using Cu Ka.
Kinematic intensities with the Lorentz-polarization factor, no thermal factor.

Main lines, low angle first (2θ = 15–90°):
Position (°2θ)	d_spacing	I_rel
26.2	3.400	49
31.2	2.870	31
32.5	2.754	36
33.2	2.698	100
34.2	2.620	87
34.4	2.608	48

Crystal structure
```
6
Lattice="5.226 0.000 0.000 0.000 3.731 0.000 -2.122 0.000 8.262" Properties=species:S:1:pos:R:3 pbc="T T T"
Dy 0.247 0.933 3.688
Dy 2.857 2.798 4.573
Th 0.319 2.798 6.884
Th 2.785 0.933 1.378
Ti 0.211 2.798 0.980
Ti 2.893 0.933 7.282
```

The following is a theoretical powder XRD pattern of Tb5Te8. It was derived from a cell relaxed with GGA-PBE, using Cu Ka.
Kinematic intensities with the Lorentz-polarization factor, no thermal factor.

Main lines, low angle first (2θ = 15–90°):
Position (°2θ)	d_spacing	I_rel
26.4	3.375	58
26.7	3.343	100
33.9	2.648	27
34.0	2.638	43
34.3	2.614	48
41.4	2.180	81

Crystal structure
```
13
Lattice="7.304 -4.365 0.000 7.304 4.365 0.000 -7.166 0.000 7.543" Properties=species:S:1:pos:R:3 pbc="T T T"
Tb 0.000 0.000 0.000
Tb 3.722 2.093 3.772
Tb 3.866 0.000 0.061
Tb 3.577 0.000 7.483
Tb 3.722 -2.093 3.772
Te -1.912 0.000 2.428
Te -1.713 2.263 6.254
Te 9.156 2.263 1.289
Te 1.875 0.000 4.998
Te 5.568 0.000 2.545
Te -1.713 -2.263 6.254
Te 9.156 -2.263 1.289
Te 9.355 0.000 5.115
```

The following is a theoretical powder XRD pattern of KAc2AuO4. It was derived from a cell relaxed with GGA-PBE, using Cu Ka.
Kinematic intensities with the Lorentz-polarization factor, no thermal factor.

Main lines, low angle first (2θ = 15–90°):
Position (°2θ)	d_spacing	I_rel
23.4	3.802	39
25.3	3.516	87
30.2	2.962	64
30.9	2.891	87
32.0	2.793	100
47.9	1.900	50

Crystal structure
```
16
Lattice="1.981 -6.752 0.000 1.981 6.752 0.000 0.000 0.000 12.354" Properties=species:S:1:pos:R:3 pbc="T T T"
K 1.981 5.959 9.266
K 1.981 -5.959 3.089
Ac 1.981 1.708 6.999
Ac 1.981 1.708 11.532
Ac 1.981 -1.708 0.822
Ac 1.981 -1.708 5.355
Au 1.981 3.394 3.089
Au 1.981 -3.394 9.266
O 0.000 0.000 0.000
O 0.000 0.000 6.177
O 1.981 3.463 1.067
O 1.981 3.463 5.110
O 1.981 0.937 9.266
O 1.981 -0.937 3.089
O 1.981 -3.463 7.244
O 1.981 -3.463 11.287
```

The following is a theoretical powder XRD pattern of TaNi4P2. It was derived from a cell relaxed with GGA-PBE, using Cu Ka.
Kinematic intensities with the Lorentz-polarization factor, no thermal factor.

Main lines, low angle first (2θ = 15–90°):
Position (°2θ)	d_spacing	I_rel
28.4	3.141	19
38.9	2.314	100
41.7	2.165	41
51.7	1.768	17
68.5	1.369	19
74.3	1.277	21

Crystal structure
```
14
Lattice="6.845 0.000 0.000 0.000 6.845 0.000 0.000 0.000 3.536" Properties=species:S:1:pos:R:3 pbc="T T T"
Ta 0.000 0.000 0.000
Ta 3.423 3.423 1.768
Ni 0.552 2.251 1.768
Ni 1.171 3.974 0.000
Ni 2.251 0.552 1.768
Ni 2.871 5.674 0.000
Ni 3.974 1.171 0.000
Ni 4.594 6.293 1.768
Ni 5.674 2.871 0.000
Ni 6.293 4.594 1.768
P 1.519 5.326 1.768
P 1.904 1.904 0.000
P 4.942 4.942 0.000
P 5.326 1.519 1.768
```

The following is a theoretical powder XRD pattern of Ba2Tl4CdAg3. It was derived from a cell relaxed with GGA-PBE, using Cu Ka.
Kinematic intensities with the Lorentz-polarization factor, no thermal factor.

Main lines, low angle first (2θ = 15–90°):
Position (°2θ)	d_spacing	I_rel
28.7	3.114	50
29.5	3.028	100
36.2	2.480	74
39.5	2.280	49
41.8	2.161	27
52.2	1.753	26

Crystal structure
```
10
Lattice="4.959 0.000 0.000 0.000 4.959 0.000 0.000 0.000 12.003" Properties=species:S:1:pos:R:3 pbc="T T T"
Ba 0.000 2.480 2.976
Ba 2.480 0.000 9.027
Tl 0.000 0.000 6.001
Tl 0.000 2.480 10.420
Tl 2.480 0.000 1.583
Tl 2.480 2.480 6.001
Cd 2.480 2.480 0.000
Ag 0.000 0.000 0.000
Ag 0.000 2.480 7.589
Ag 2.480 0.000 4.414
```

The following is a theoretical powder XRD pattern of Cs3Na2HgF8. It was derived from a cell relaxed with GGA-PBE, using Cu Ka.
Kinematic intensities with the Lorentz-polarization factor, no thermal factor.

Main lines, low angle first (2θ = 15–90°):
Position (°2θ)	d_spacing	I_rel
15.8	5.605	29
26.2	3.405	90
27.6	3.236	100
38.4	2.346	51
45.3	2.002	33
47.9	1.899	36

Crystal structure
```
14
Lattice="6.472 0.000 0.000 -3.236 5.605 0.000 0.000 0.000 8.574" Properties=species:S:1:pos:R:3 pbc="T T T"
Cs 0.000 0.000 0.000
Cs 0.000 3.737 5.521
Cs 3.236 1.868 3.053
Na 0.000 3.737 1.839
Na 3.236 1.868 6.735
Hg 0.000 0.000 4.287
F 0.000 1.792 2.910
F -1.684 4.709 2.910
F 1.552 0.896 5.664
F 0.000 3.737 8.292
F 3.236 1.868 0.282
F 1.684 4.709 2.910
F 4.920 0.896 5.664
F 3.236 3.813 5.664
```

The following is a theoretical powder XRD pattern of BaY3Ru. It was derived from a cell relaxed with GGA-PBE, using Cu Ka.
Kinematic intensities with the Lorentz-polarization factor, no thermal factor.

Main lines, low angle first (2θ = 15–90°):
Position (°2θ)	d_spacing	I_rel
19.8	4.493	37
27.2	3.274	53
27.8	3.206	47
31.4	2.848	100
32.8	2.727	46
46.1	1.970	67

Crystal structure
```
5
Lattice="4.095 0.000 0.000 0.000 5.453 0.000 0.000 0.000 7.928" Properties=species:S:1:pos:R:3 pbc="T T T"
Ba 0.000 0.000 0.000
Y 0.000 0.000 3.964
Y 2.047 2.727 2.163
Y 2.047 2.727 5.765
Ru 0.000 2.727 3.964
```

The following is a theoretical powder XRD pattern of NbCdSi2O8. It was derived from a cell relaxed with GGA-PBE, using Cu Ka.
Kinematic intensities with the Lorentz-polarization factor, no thermal factor.

Main lines, low angle first (2θ = 15–90°):
Position (°2θ)	d_spacing	I_rel
19.0	4.659	100
33.3	2.690	55
33.9	2.646	64
43.9	2.063	30
48.2	1.886	36
59.9	1.544	24

Crystal structure
```
12
Lattice="5.380 0.000 0.000 -2.690 4.659 0.000 0.000 0.000 6.428" Properties=species:S:1:pos:R:3 pbc="T T T"
Nb 0.000 0.000 0.000
Cd 0.000 0.000 3.214
Si 0.000 3.106 4.642
Si 2.690 1.553 1.786
O 0.000 1.560 5.193
O -1.339 3.880 5.193
O 0.000 3.106 3.013
O 1.351 0.780 1.235
O 1.339 3.880 5.193
O 2.690 1.553 3.415
O 4.029 0.780 1.235
O 2.690 3.100 1.235
```

The following is a theoretical powder XRD pattern of Na4TaSe4. It was derived from a cell relaxed with GGA-PBE, using Cu Ka.
Kinematic intensities with the Lorentz-polarization factor, no thermal factor.

Main lines, low angle first (2θ = 15–90°):
Position (°2θ)	d_spacing	I_rel
17.7	5.025	43
23.8	3.742	100
35.7	2.512	45
37.1	2.421	59
41.0	2.201	60
46.8	1.941	34

Crystal structure
```
9
Lattice="-3.553 3.553 5.608 3.553 -3.553 5.608 3.553 3.553 -5.608" Properties=species:S:1:pos:R:3 pbc="T T T"
Na 3.553 0.000 0.000
Na 0.000 0.000 2.097
Na 0.000 3.553 0.000
Na 0.000 0.000 9.120
Ta 0.000 0.000 5.608
Se 1.451 -1.451 4.243
Se 2.101 2.101 1.366
Se -1.451 1.451 4.243
Se 1.451 1.451 6.974
```